# 1
For La6Tl2FeCo, a DFT-relaxed cell (PBE, Alexandria) gives the simulated XRD peak list in this record (copper Kα).
Neutral-atom scattering factors, no anomalous dispersion.

Structure:
```
La6Tl2FeCo
1.0
-3.7470 3.7470 5.3321
3.7470 -3.7470 5.3321
3.7470 3.7470 -5.3321
La Tl Fe Co
6 2 1 1
Direct
0.0000 0.0000 0.0000
0.4961 0.4961 0.4967
0.4961 0.9994 0.0000
0.4971 0.4971 0.0000
0.9994 0.4961 0.0000
0.9994 0.9994 0.5033
0.4964 0.9964 0.5000
0.9964 0.4964 0.5000
0.2347 0.2347 0.0000
0.7489 0.7489 0.0000
```

Largest 8 diffraction maxima, by intensity, 2θ = 5–70°:
d/Å  2θ/deg  Rel. int.
3.066  29.13  100
2.650  33.83  50
1.879  48.44  37
1.599  57.66  30
2.666  33.62  26
1.533  60.39  19
1.874  48.60  18
1.606  57.38  15

***

# 2
For Er6ThMg2, a DFT-relaxed cell (PBE, Alexandria) gives the simulated XRD peak list in this record (copper Kα).
Neutral-atom scattering factors, no anomalous dispersion.

Structure:
```
Er6ThMg2
1.0
3.4859 0.0000 0.0000
-1.7430 3.0189 0.0000
0.0000 0.0000 25.6139
Er Th Mg
6 1 2
Direct
0.0000 0.0000 0.0647
0.0000 0.0000 0.2756
0.0000 0.0000 0.7244
0.0000 0.0000 0.9353
0.3333 0.6667 0.3852
0.3333 0.6667 0.6148
0.0000 0.0000 0.5000
0.3333 0.6667 0.1687
0.3333 0.6667 0.8313
```

Largest 8 diffraction maxima, by intensity, 2θ = 5–70°:
d/Å  2θ/deg  Rel. int.
2.601  34.48  100
2.731  32.80  85
3.019  29.59  65
2.846  31.43  49
1.486  62.48  43
2.071  43.71  41
1.743  52.50  41
1.565  59.04  25

***

# 3
For Tl2HAuSe2, a DFT-relaxed cell (PBE, Alexandria) gives the simulated XRD peak list in this record (copper Kα).
Neutral-atom scattering factors, no anomalous dispersion.

Structure:
```
Tl2HAuSe2
1.0
-3.1119 7.8926 2.8089
3.1119 -7.8926 2.8089
3.1119 7.8926 -2.8089
Tl H Au Se
4 2 2 4
Direct
0.1730 0.2181 0.3911
0.3270 0.7181 0.0451
0.6730 0.2819 0.9549
0.8270 0.7819 0.6089
0.2500 0.7500 0.5000
0.7500 0.2500 0.5000
0.2500 0.2500 0.0000
0.7500 0.7500 0.0000
0.0847 0.6853 0.7700
0.4153 0.1853 0.6007
0.5847 0.8147 0.3993
0.9153 0.3147 0.2300
```

Largest 8 diffraction maxima, by intensity, 2θ = 5–70°:
d/Å  2θ/deg  Rel. int.
2.866  31.20  100
2.085  43.40  39
1.633  56.33  35
5.790  15.30  34
2.813  31.81  31
3.687  24.14  29
2.895  30.89  27
2.646  33.87  20

***

# 4
For TaP2O8, a DFT-relaxed cell (PBE, Alexandria) gives the simulated XRD peak list in this record (copper Kα).
Neutral-atom scattering factors, no anomalous dispersion.

Structure:
```
TaP2O8
1.0
15.5913 0.0000 0.0000
0.0000 5.2968 0.0000
0.0000 0.0000 7.8311
Ta P O
4 8 32
Direct
0.1242 0.2500 0.1347
0.3758 0.7500 0.6347
0.6242 0.2500 0.3653
0.8758 0.7500 0.8653
0.0018 0.2500 0.7640
0.1928 0.7500 0.8844
0.3072 0.2500 0.3844
0.4982 0.7500 0.2640
0.5018 0.2500 0.7360
0.6928 0.7500 0.6156
0.8072 0.2500 0.1156
0.9982 0.7500 0.2360
0.0381 0.2500 0.9494
0.0590 0.5167 0.2500
0.0590 0.9833 0.2500
0.0725 0.2500 0.6318
0.1216 0.7500 0.7509
0.1877 0.5127 0.9996
0.1877 0.9873 0.9996
0.2156 0.2500 0.3043
0.2844 0.7500 0.8043
0.3123 0.0127 0.4996
0.3123 0.4873 0.4996
0.3784 0.2500 0.2509
0.4275 0.7500 0.1318
0.4410 0.0167 0.7500
0.4410 0.4833 0.7500
0.4619 0.7500 0.4494
0.5381 0.2500 0.5506
0.5590 0.5167 0.2500
0.5590 0.9833 0.2500
0.5725 0.2500 0.8682
0.6216 0.7500 0.7491
0.6877 0.5127 0.5004
0.6877 0.9873 0.5004
0.7156 0.2500 0.1957
0.7844 0.7500 0.6957
0.8123 0.0127 0.0004
0.8123 0.4873 0.0004
0.8784 0.2500 0.2491
0.9275 0.7500 0.3682
0.9410 0.0167 0.7500
0.9410 0.4833 0.7500
0.9619 0.7500 0.0506
```

Largest 8 diffraction maxima, by intensity, 2θ = 5–70°:
d/Å  2θ/deg  Rel. int.
4.384  20.26  100
6.998  12.65  85
5.525  16.04  52
2.914  30.68  45
3.086  28.93  33
4.330  20.51  32
2.693  33.27  30
3.127  28.54  25

***

# 5
For CsAc2C2O7, a DFT-relaxed cell (PBE, Alexandria) gives the simulated XRD peak list in this record (copper Kα).
Neutral-atom scattering factors, no anomalous dispersion.

Structure:
```
CsAc2C2O7
1.0
2.6684 1.5406 11.3620
-2.6684 1.5406 11.3620
0.0000 -3.0812 11.3620
Cs Ac C O
1 2 2 7
Direct
0.0000 0.0000 0.0000
0.4352 0.4352 0.4352
0.5648 0.5648 0.5648
0.2454 0.2454 0.2454
0.7546 0.7546 0.7546
0.1044 0.1044 0.5266
0.1044 0.5266 0.1044
0.4734 0.8956 0.8956
0.5000 0.5000 0.5000
0.5266 0.1044 0.1044
0.8956 0.4734 0.8956
0.8956 0.8956 0.4734
```

Largest 8 diffraction maxima, by intensity, 2θ = 5–70°:
d/Å  2θ/deg  Rel. int.
4.461  19.90  100
3.352  26.59  85
2.668  33.59  63
2.181  41.39  51
4.580  19.38  51
3.787  23.49  43
3.825  23.25  42
5.681  15.60  41

***

# 6
For La6Pd2Ru, a DFT-relaxed cell (PBE, Alexandria) gives the simulated XRD peak list in this record (copper Kα).
Neutral-atom scattering factors, no anomalous dispersion.

Structure:
```
La6Pd2Ru
1.0
6.8869 0.0000 0.0000
0.0000 7.6586 0.0000
-6.2346 0.0000 10.6086
La Pd Ru
12 4 2
Direct
0.0955 0.0438 0.2491
0.0955 0.4562 0.7491
0.2393 0.6809 0.0718
0.2393 0.8191 0.5718
0.3944 0.1824 0.0667
0.3944 0.3176 0.5667
0.6056 0.6824 0.4333
0.6056 0.8176 0.9333
0.7607 0.1809 0.4282
0.7607 0.3191 0.9282
0.9045 0.5438 0.2509
0.9045 0.9562 0.7509
0.3279 0.1142 0.7694
0.3279 0.3858 0.2694
0.6721 0.6142 0.7306
0.6721 0.8858 0.2306
0.0000 0.0000 0.0000
0.0000 0.5000 0.5000
```

Largest 8 diffraction maxima, by intensity, 2θ = 5–70°:
d/Å  2θ/deg  Rel. int.
3.221  27.69  100
3.069  29.10  98
3.054  29.24  97
2.868  31.18  64
2.393  37.58  54
3.136  28.46  53
2.849  31.40  51
3.105  28.75  50